Structure and simulated powder diffractogram of Al2Zn4W (a crystal structure in Alexandria, relaxed with GGA-PBE; Cu Kα (weighted mean of Kα1 and Kα2)).

Top 10 peaks for 2θ = 10–80°, sorted by position:
- d = 4.618 Å, 19.22°, I = 649, (0 1 1)
- d = 4.223 Å, 21.04°, I = 337, (1 0 1)
- d = 3.619 Å, 24.60°, I = 274, (1 1 0)
- d = 2.778 Å, 32.23°, I = 643, (1 1 2)
- d = 2.553 Å, 35.15°, I = 339, (0 1 3)
- d = 2.292 Å, 39.31°, I = 1000, (1 2 1)
- d = 2.166 Å, 41.69°, I = 396, (0 0 4)
- d = 2.142 Å, 42.19°, I = 328, (2 1 1)
- d = 2.111 Å, 42.83°, I = 751, (2 0 2)
- d = 1.835 Å, 49.68°, I = 482, (1 2 3)

Cell and atoms:
Cell: 4.836 5.458 8.666 Å, 90.00 90.00 90.00°
Space group I222 (No. 23)
Unique sites:
Al 0.000 0.237 0.000 (multiplicity 4)
Zn 0.219 0.148 0.270 (multiplicity 8)
W 0.000 0.500 0.500 (multiplicity 2)